Entry 1:
Diffraction record for V2ZnIr2. The XRD peak list is calculated, not measured: it uses a structure optimized by DFT (GGA-PBE) and Cu Kα, 1.54184 Å.
No peak broadening, texture or thermal motion is included.

Top 10 peaks for 15° ≤ 2θ ≤ 90°, sorted by position:
17.06°, I = 325; 27.13°, I = 534; 32.35°, I = 258; 38.74°, I = 562; 42.71°, I = 1000; 44.44°, I = 173; 49.61°, I = 167; 51.33°, I = 238; 56.02°, I = 228; 78.06°, I = 241

Atomic structure:
a = 7.3504 Å, b = 7.3504 Å, c = 2.7671 Å
α = 90.00°, β = 90.00°, γ = 90.00°
Space group P4/mbm (No. 127)
Inequivalent atoms, fractional coordinates:
1 V 0.1627 0.3373 0.0000
2 Zn 0.0000 0.0000 0.5000
3 Ir 0.1325 0.6325 0.5000



Entry 2:
Diffraction record for Ir2W. The XRD peak list is calculated, not measured: it uses a structure optimized by DFT (GGA-PBE) and Cu Kα, 1.54184 Å.
No peak broadening, texture or thermal motion is included.

Top 10 peaks for 15° ≤ 2θ ≤ 90°, sorted by position:
37.18°, I = 222; 37.30°, I = 133; 40.74°, I = 370; 42.59°, I = 1000; 42.70°, I = 463; 56.36°, I = 217; 67.19°, I = 170; 75.46°, I = 278; 81.64°, I = 201; 82.73°, I = 141

Atomic structure:
a = 2.7956 Å, b = 14.4636 Å, c = 4.4294 Å
α = 90.00°, β = 90.00°, γ = 90.00°
Space group Cmcm (No. 63)
Inequivalent atoms, fractional coordinates:
1 Ir 0.0000 0.0562 0.2500
2 Ir 0.0000 0.2750 0.7500
3 W 0.0000 0.3885 0.2500